# 1
Pm3YSb2: computed PXRD pattern (copper Kα), based on a DFT-relaxed cell (GGA-PBE, Alexandria).

Most intense lines, 10 to 80 degrees two-theta, sorted by position:
2θ 27.67, I 25, hkl 1 1 0; 2θ 28.32, I 24, hkl 1 0 2; 2θ 29.54, I 100, hkl 1 1 1; 2θ 30.75, I 42, hkl 0 0 3; 2θ 34.60, I 94, hkl 1 1 2; 2θ 36.66, I 29, hkl 1 0 3; 2θ 39.53, I 65, hkl 2 0 0; 2θ 50.90, I 41, hkl 2 0 3; 2θ 57.14, I 22, hkl 2 2 0; 2θ 68.55, I 25, hkl 3 1 2

Structure:
a = 4.5594 Å, b = 4.5594 Å, c = 8.7222 Å
α = 90.00°, β = 90.00°, γ = 90.00°
Fractional coordinates of all 6 atoms:
1 Pm 0.0000 0.0000 0.0000
2 Pm 0.0000 0.5000 0.6464
3 Pm 0.5000 0.0000 0.3536
4 Y 0.5000 0.5000 0.0000
5 Sb 0.0000 0.5000 0.2766
6 Sb 0.5000 0.0000 0.7234


# 2
Be8Nb3Os: computed PXRD pattern (copper Kα), based on a DFT-relaxed cell (GGA-PBE, Alexandria).

Most intense lines, 10 to 80 degrees two-theta, sorted by position:
2θ 11.87, I 21, hkl 0 0 1; 2θ 22.67, I 90, hkl 1 0 0; 2θ 23.88, I 46, hkl 0 0 2; 2θ 25.66, I 76, hkl 0 1 1; 2θ 33.16, I 38, hkl 0 1 2; 2θ 39.80, I 88, hkl 1 1 0; 2θ 43.10, I 100, hkl 0 1 3; 2θ 46.94, I 61, hkl 1 1 2; 2θ 60.10, I 30, hkl 2 0 3; 2θ 74.53, I 39, hkl 1 2 3

Structure:
a = 4.5300 Å, b = 4.5300 Å, c = 7.4530 Å
α = 90.00°, β = 90.00°, γ = 120.00°
Fractional coordinates of all 12 atoms:
1 Be 0.0000 0.0000 0.0000
2 Be 0.0000 0.0000 0.4987
3 Be 0.1690 0.3380 0.2467
4 Be 0.1690 0.8310 0.2467
5 Be 0.3396 0.1698 0.7544
6 Be 0.6620 0.8310 0.2467
7 Be 0.8302 0.1698 0.7544
8 Be 0.8302 0.6604 0.7544
9 Nb 0.3333 0.6667 0.5685
10 Nb 0.3333 0.6667 0.9429
11 Nb 0.6667 0.3333 0.4295
12 Os 0.6667 0.3333 0.0652